# 1
Theoretical PXRD pattern
Compound: Cs5As3Pt3
Radiation: λ = 1.5418 Å (Cu Kα)
Structure: a cell relaxed with PBE
Lines closer than 0.1° are merged.

Principal peaks in the range 2θ = 10–90°, sorted by position:
| two_theta | Rel. int. |
| --- | --- |
| 15.46 | 72 |
| 23.71 | 37 |
| 26.10 | 82 |
| 26.94 | 100 |
| 31.21 | 21 |
| 31.81 | 73 |
| 42.54 | 19 |
| 45.16 | 18 |
| 47.08 | 37 |
| 51.08 | 34 |

Cell and atoms:
abc: 11.465 11.465 4.250
angles: 90.00 90.00 120.00
Fractional positions:
Cs  0.000  0.751  0.000
Cs  0.249  0.249  0.000
Cs  0.333  0.667  0.000
Cs  0.667  0.333  0.000
Cs  0.751  0.000  0.000
As  0.000  0.395  0.000
As  0.395  0.000  0.000
As  0.605  0.605  0.000
Pt  0.000  0.307  0.500
Pt  0.307  0.000  0.500
Pt  0.693  0.693  0.500

# 2
Theoretical PXRD pattern
Compound: CsAs2Pt3
Radiation: λ = 1.5418 Å (Cu Kα)
Structure: a cell relaxed with PBE
Lines closer than 0.1° are merged.

Principal peaks in the range 2θ = 10–90°, sorted by position:
| two_theta | Rel. int. |
| --- | --- |
| 27.63 | 19 |
| 31.55 | 25 |
| 32.73 | 100 |
| 36.54 | 28 |
| 38.27 | 49 |
| 38.77 | 54 |
| 41.80 | 26 |
| 44.55 | 41 |
| 46.40 | 33 |
| 49.15 | 21 |

Cell and atoms:
abc: 7.778 7.778 9.729
angles: 109.29 109.29 30.31
Fractional positions:
Cs  0.137  0.137  0.044
Cs  0.863  0.863  0.956
As  0.192  0.192  0.699
As  0.470  0.470  0.751
As  0.530  0.530  0.249
As  0.808  0.808  0.301
Pt  0.057  0.057  0.406
Pt  0.306  0.306  0.565
Pt  0.406  0.406  0.366
Pt  0.594  0.594  0.634
Pt  0.694  0.694  0.435
Pt  0.943  0.943  0.594

# 3
Theoretical PXRD pattern
Compound: CsAsPt2
Radiation: λ = 1.5418 Å (Cu Kα)
Structure: a cell relaxed with PBE
Lines closer than 0.1° are merged.

Principal peaks in the range 2θ = 10–90°, sorted by position:
| two_theta | Rel. int. |
| --- | --- |
| 10.76 | 100 |
| 14.50 | 22 |
| 23.26 | 11 |
| 23.98 | 12 |
| 25.10 | 13 |
| 29.24 | 11 |
| 32.66 | 12 |
| 35.46 | 14 |
| 36.05 | 15 |
| 41.76 | 14 |

Cell and atoms:
abc: 5.457 11.125 13.376
angles: 90.00 114.02 90.00
Fractional positions:
Cs  0.008  0.250  0.250
Cs  0.008  0.250  0.750
Cs  0.992  0.750  0.250
Cs  0.992  0.750  0.750
As  0.351  0.000  0.102
As  0.351  0.500  0.602
As  0.649  0.000  0.898
As  0.649  0.500  0.398
Pt  0.001  0.143  0.999
Pt  0.001  0.357  0.499
Pt  0.498  0.643  0.499
Pt  0.498  0.857  0.999
Pt  0.502  0.143  0.001
Pt  0.502  0.357  0.501
Pt  0.999  0.643  0.501
Pt  0.999  0.857  0.001

# 4
Theoretical PXRD pattern
Compound: Cs6Rb9As
Radiation: λ = 1.5418 Å (Cu Kα)
Structure: a cell relaxed with PBE
Lines closer than 0.1° are merged.

Principal peaks in the range 2θ = 10–90°, sorted by position:
| two_theta | Rel. int. |
| --- | --- |
| 21.08 | 100 |
| 24.39 | 64 |
| 34.77 | 49 |
| 41.02 | 49 |
| 42.93 | 17 |
| 54.83 | 19 |
| 56.43 | 15 |
| 62.36 | 11 |
| 66.63 | 10 |
| 77.41 | 9 |

Cell and atoms:
abc: 13.667 13.667 13.667
angles: 130.11 130.11 73.23
Fractional positions:
Cs  0.095  0.712  0.807
Cs  0.158  0.158  0.000
Cs  0.288  0.095  0.383
Cs  0.712  0.905  0.617
Cs  0.842  0.842  0.000
Cs  0.905  0.288  0.193
Rb  0.035  0.242  0.620
Rb  0.242  0.622  0.207
Rb  0.378  0.585  0.620
Rb  0.415  0.035  0.793
Rb  0.500  0.500  0.000
Rb  0.585  0.965  0.207
Rb  0.622  0.415  0.380
Rb  0.758  0.378  0.793
Rb  0.965  0.758  0.380
As  0.000  0.000  0.000

# 5
Theoretical PXRD pattern
Compound: CsRb2As
Radiation: λ = 1.5418 Å (Cu Kα)
Structure: a cell relaxed with PBE
Lines closer than 0.1° are merged.

Principal peaks in the range 2θ = 10–90°, sorted by position:
| two_theta | Rel. int. |
| --- | --- |
| 22.29 | 81 |
| 22.44 | 60 |
| 24.23 | 70 |
| 26.28 | 74 |
| 26.53 | 100 |
| 26.92 | 70 |
| 27.03 | 46 |
| 27.94 | 82 |
| 32.23 | 59 |
| 32.58 | 54 |

Cell and atoms:
abc: 10.825 8.667 10.932
angles: 90.00 109.98 90.00
Fractional positions:
Cs  0.051  0.013  0.210
Cs  0.051  0.487  0.710
Cs  0.949  0.513  0.290
Cs  0.949  0.987  0.790
Rb  0.288  0.645  0.132
Rb  0.288  0.855  0.632
Rb  0.326  0.205  0.977
Rb  0.326  0.295  0.477
Rb  0.674  0.705  0.523
Rb  0.674  0.795  0.023
Rb  0.712  0.145  0.368
Rb  0.712  0.355  0.868
As  0.044  0.136  0.529
As  0.044  0.364  0.029
As  0.956  0.636  0.971
As  0.956  0.864  0.471

# 6
Theoretical PXRD pattern
Compound: Cs3Rb8As
Radiation: λ = 1.5418 Å (Cu Kα)
Structure: a cell relaxed with PBE
Lines closer than 0.1° are merged.

Principal peaks in the range 2θ = 10–90°, sorted by position:
| two_theta | Rel. int. |
| --- | --- |
| 16.05 | 29 |
| 19.84 | 40 |
| 22.02 | 52 |
| 22.23 | 100 |
| 23.29 | 63 |
| 25.86 | 36 |
| 32.19 | 26 |
| 37.06 | 21 |
| 43.13 | 18 |
| 43.64 | 18 |

Cell and atoms:
abc: 15.274 15.274 10.040
angles: 90.00 90.00 120.00
Fractional positions:
Cs  0.154  0.308  0.000
Cs  0.154  0.846  0.000
Cs  0.308  0.154  0.500
Cs  0.692  0.846  0.000
Cs  0.846  0.154  0.500
Cs  0.846  0.692  0.500
Rb  0.000  0.000  0.248
Rb  0.000  0.000  0.748
Rb  0.070  0.535  0.242
Rb  0.231  0.463  0.531
Rb  0.231  0.769  0.531
Rb  0.333  0.667  0.966
Rb  0.463  0.231  0.031
Rb  0.465  0.535  0.242
Rb  0.465  0.930  0.242
Rb  0.535  0.070  0.742
Rb  0.535  0.465  0.742
Rb  0.537  0.769  0.531
Rb  0.667  0.333  0.466
Rb  0.769  0.231  0.031
Rb  0.769  0.537  0.031
Rb  0.930  0.465  0.742
As  0.333  0.667  0.309
As  0.667  0.333  0.809

# 7
Theoretical PXRD pattern
Compound: Cs6RbAs
Radiation: λ = 1.5418 Å (Cu Kα)
Structure: a cell relaxed with PBE
Lines closer than 0.1° are merged.

Principal peaks in the range 2θ = 10–90°, sorted by position:
| two_theta | Rel. int. |
| --- | --- |
| 19.31 | 44 |
| 20.24 | 66 |
| 21.78 | 100 |
| 21.80 | 98 |
| 21.90 | 99 |
| 28.09 | 25 |
| 28.21 | 25 |
| 33.73 | 48 |
| 36.35 | 46 |
| 39.69 | 28 |

Cell and atoms:
abc: 10.246 10.246 18.191
angles: 101.06 101.06 53.46
Fractional positions:
Cs  0.020  0.813  0.605
Cs  0.129  0.307  0.663
Cs  0.187  0.980  0.895
Cs  0.296  0.404  0.964
Cs  0.307  0.129  0.163
Cs  0.404  0.296  0.464
Cs  0.596  0.704  0.536
Cs  0.693  0.871  0.837
Cs  0.704  0.596  0.036
Cs  0.813  0.020  0.105
Cs  0.871  0.693  0.337
Cs  0.980  0.187  0.395
Rb  0.392  0.608  0.250
Rb  0.608  0.392  0.750
As  0.000  0.500  0.500
As  0.500  0.000  0.000

# 8
Theoretical PXRD pattern
Compound: Cs2Rb5As2
Radiation: λ = 1.5418 Å (Cu Kα)
Structure: a cell relaxed with PBE
Lines closer than 0.1° are merged.

Principal peaks in the range 2θ = 10–90°, sorted by position:
| two_theta | Rel. int. |
| --- | --- |
| 13.23 | 53 |
| 18.85 | 31 |
| 21.58 | 43 |
| 22.32 | 66 |
| 27.10 | 100 |
| 27.55 | 58 |
| 28.31 | 23 |
| 29.92 | 29 |
| 30.84 | 29 |
| 35.54 | 34 |

Cell and atoms:
abc: 6.753 6.755 12.989
angles: 92.97 93.35 96.87
Fractional positions:
Cs  0.231  0.228  0.037
Cs  0.769  0.772  0.963
Rb  0.000  0.000  0.500
Rb  0.125  0.565  0.717
Rb  0.437  0.872  0.284
Rb  0.563  0.128  0.716
Rb  0.875  0.435  0.283
As  0.061  0.062  0.778
As  0.939  0.938  0.222

# 9
Theoretical PXRD pattern
Compound: CsTb2As2S6
Radiation: λ = 1.5418 Å (Cu Kα)
Structure: a cell relaxed with PBE
Lines closer than 0.1° are merged.

Principal peaks in the range 2θ = 10–90°, sorted by position:
| two_theta | Rel. int. |
| --- | --- |
| 12.72 | 100 |
| 14.31 | 57 |
| 22.87 | 33 |
| 23.87 | 55 |
| 25.61 | 51 |
| 26.82 | 94 |
| 27.37 | 25 |
| 33.59 | 33 |
| 35.66 | 36 |
| 41.26 | 31 |

Cell and atoms:
abc: 7.457 7.731 8.064
angles: 89.77 63.45 61.73
Fractional positions:
Cs  0.000  0.000  0.000
Tb  0.368  0.312  0.970
Tb  0.632  0.688  0.030
As  0.004  0.341  0.558
As  0.996  0.659  0.442
S  0.090  0.374  0.799
S  0.283  0.081  0.216
S  0.407  0.492  0.241
S  0.593  0.508  0.759
S  0.717  0.919  0.784
S  0.910  0.626  0.201

# 10
Theoretical PXRD pattern
Compound: Cs2UAsS4
Radiation: λ = 1.5418 Å (Cu Kα)
Structure: a cell relaxed with PBE
Lines closer than 0.1° are merged.

Principal peaks in the range 2θ = 10–90°, sorted by position:
| two_theta | Rel. int. |
| --- | --- |
| 12.82 | 56 |
| 17.33 | 29 |
| 22.29 | 100 |
| 23.48 | 33 |
| 28.37 | 38 |
| 34.46 | 23 |
| 38.06 | 25 |
| 39.14 | 29 |
| 44.57 | 21 |
| 45.50 | 21 |

Cell and atoms:
abc: 15.959 14.100 8.429
angles: 86.34 61.85 31.81
Fractional positions:
Cs  0.046  0.046  0.704
Cs  0.296  0.296  0.954
Cs  0.704  0.704  0.046
Cs  0.954  0.954  0.296
U  0.125  0.125  0.125
U  0.875  0.875  0.875
As  0.375  0.375  0.375
As  0.625  0.625  0.625
S  0.047  0.313  0.405
S  0.266  0.595  0.687
S  0.313  0.047  0.734
S  0.405  0.734  0.047
S  0.595  0.266  0.953
S  0.687  0.953  0.266
S  0.734  0.405  0.313
S  0.953  0.687  0.595

# 11
Theoretical PXRD pattern
Compound: CsUAsS4
Radiation: λ = 1.5418 Å (Cu Kα)
Structure: a cell relaxed with PBE
Lines closer than 0.1° are merged.

Principal peaks in the range 2θ = 10–90°, sorted by position:
| two_theta | Rel. int. |
| --- | --- |
| 13.44 | 82 |
| 22.04 | 100 |
| 25.90 | 29 |
| 34.26 | 27 |
| 38.66 | 47 |
| 44.94 | 26 |
| 47.12 | 21 |
| 50.60 | 22 |
| 60.75 | 26 |
| 87.11 | 15 |

Cell and atoms:
abc: 8.068 8.068 8.068
angles: 60.00 60.00 60.00
Fractional positions:
Cs  0.000  0.000  0.000
U  0.750  0.750  0.750
As  0.500  0.500  0.500
S  0.131  0.623  0.623
S  0.623  0.131  0.623
S  0.623  0.623  0.131
S  0.623  0.623  0.623

# 12
Theoretical PXRD pattern
Compound: CsSb3As
Radiation: λ = 1.5418 Å (Cu Kα)
Structure: a cell relaxed with PBE
Lines closer than 0.1° are merged.

Principal peaks in the range 2θ = 10–90°, sorted by position:
| two_theta | Rel. int. |
| --- | --- |
| 18.89 | 30 |
| 22.30 | 42 |
| 22.50 | 40 |
| 24.21 | 42 |
| 25.56 | 41 |
| 30.00 | 100 |
| 30.58 | 80 |
| 30.92 | 46 |
| 32.50 | 33 |
| 48.40 | 38 |

Cell and atoms:
abc: 5.518 7.528 9.411
angles: 90.00 93.16 90.00
Fractional positions:
Cs  0.000  0.000  0.000
Cs  0.495  0.500  0.811
Sb  0.003  0.500  0.167
Sb  0.380  0.000  0.626
Sb  0.528  0.305  0.202
Sb  0.528  0.695  0.202
Sb  0.970  0.243  0.578
Sb  0.970  0.757  0.578
As  0.221  0.500  0.429
As  0.701  0.000  0.411